(1)
Calculated X-ray diffraction stick pattern of Pr2NpCr2N6 for copper Kα, from a structure optimized by DFT (GGA-PBE).
Intensities are scaled so that the largest is 100.

```
Pr2NpCr2N6
1.0
2.836 1.637 5.767
-2.836 1.637 5.767
0.000 -3.274 5.767
Pr Np Cr N
2 1 2 6
Direct
0.210 0.210 0.210 Pr
0.790 0.790 0.790 Pr
0.000 0.000 0.000 Np
0.402 0.402 0.402 Cr
0.598 0.598 0.598 Cr
0.234 0.745 0.745 N
0.255 0.255 0.766 N
0.255 0.766 0.255 N
0.745 0.234 0.745 N
0.745 0.745 0.234 N
0.766 0.255 0.255 N
```

Top 8 peaks for 2θ = 10–90°, by angle:
2θ 18.78, d = 4.725 Å, I = 22
2θ 27.48, d = 3.246 Å, I = 14
2θ 31.59, d = 2.832 Å, I = 100
2θ 42.32, d = 2.136 Å, I = 9
2θ 45.28, d = 2.003 Å, I = 20
2θ 56.22, d = 1.636 Å, I = 30
2θ 56.38, d = 1.632 Å, I = 9
2θ 74.92, d = 1.267 Å, I = 8

***

(2)
Calculated X-ray diffraction stick pattern of Pr2AlCuNi6 for copper Kα, from a structure optimized by DFT (GGA-PBE).
Intensities are scaled so that the largest is 100.

```
Pr2AlCuNi6
1.0
5.902 0.000 0.000
2.845 5.428 0.000
2.933 1.833 5.125
Pr Al Cu Ni
2 1 1 6
Direct
0.195 0.198 0.195 Pr
0.805 0.802 0.805 Pr
0.500 0.500 0.500 Al
0.000 0.000 0.000 Cu
0.164 0.612 0.318 Ni
0.327 0.160 0.608 Ni
0.377 0.674 0.836 Ni
0.623 0.326 0.164 Ni
0.673 0.840 0.392 Ni
0.836 0.388 0.682 Ni
```

Top 8 peaks for 2θ = 10–90°, by angle:
2θ 28.84, d = 3.095 Å, I = 57
2θ 33.44, d = 2.680 Å, I = 65
2θ 34.05, d = 2.633 Å, I = 82
2θ 34.23, d = 2.620 Å, I = 62
2θ 34.81, d = 2.577 Å, I = 60
2θ 35.03, d = 2.561 Å, I = 94
2θ 35.43, d = 2.534 Å, I = 64
2θ 44.59, d = 2.032 Å, I = 100

***

(3)
Calculated X-ray diffraction stick pattern of CaAl2Pb for copper Kα, from a structure optimized by DFT (GGA-PBE).
Intensities are scaled so that the largest is 100.

```
CaAl2Pb
1.0
4.501 0.000 0.000
0.000 4.501 0.000
0.000 0.000 4.655
Ca Al Pb
1 2 1
Direct
0.000 0.000 0.000 Ca
0.000 0.500 0.500 Al
0.500 0.000 0.500 Al
0.500 0.500 0.000 Pb
```

Top 8 peaks for 2θ = 10–90°, by angle:
2θ 19.07, d = 4.655 Å, I = 41
2θ 19.72, d = 4.501 Å, I = 53
2θ 27.57, d = 3.236 Å, I = 49
2θ 28.03, d = 3.183 Å, I = 34
2θ 34.13, d = 2.627 Å, I = 100
2θ 40.06, d = 2.251 Å, I = 32
2θ 56.91, d = 1.618 Å, I = 23
2θ 68.99, d = 1.361 Å, I = 26

***

(4)
Calculated X-ray diffraction stick pattern of Li2MgZnAg2 for copper Kα, from a structure optimized by DFT (GGA-PBE).
Intensities are scaled so that the largest is 100.

```
Li2MgZnAg2
1.0
4.182 0.000 0.000
0.000 4.008 0.000
0.000 0.000 11.911
Li Mg Zn Ag
4 2 2 4
Direct
0.250 0.000 0.078 Li
0.250 0.500 0.238 Li
0.750 0.000 0.922 Li
0.750 0.500 0.762 Li
0.250 0.500 0.591 Mg
0.750 0.500 0.409 Mg
0.250 0.000 0.761 Zn
0.750 0.000 0.239 Zn
0.250 0.000 0.404 Ag
0.250 0.500 0.915 Ag
0.750 0.000 0.596 Ag
0.750 0.500 0.085 Ag
```

Top 8 peaks for 2θ = 10–90°, by angle:
2θ 23.42, d = 3.798 Å, I = 43
2θ 26.04, d = 3.422 Å, I = 46
2θ 38.50, d = 2.338 Å, I = 100
2θ 43.27, d = 2.091 Å, I = 18
2θ 44.23, d = 2.048 Å, I = 13
2θ 45.25, d = 2.004 Å, I = 16
2θ 45.70, d = 1.985 Å, I = 14
2θ 76.18, d = 1.250 Å, I = 12

***

(5)
Calculated X-ray diffraction stick pattern of Tb6Sm2Ho3Er for copper Kα, from a structure optimized by DFT (GGA-PBE).
Intensities are scaled so that the largest is 100.

```
Tb6Sm2Ho3Er
1.0
3.081 -5.332 0.000
3.081 5.332 0.000
-2.042 0.000 11.613
Tb Sm Ho Er
6 2 3 1
Direct
0.084 0.417 0.752 Tb
0.248 0.248 0.248 Tb
0.417 0.084 0.752 Tb
0.583 0.916 0.248 Tb
0.752 0.752 0.752 Tb
0.916 0.583 0.248 Tb
0.333 0.667 0.500 Sm
0.667 0.333 0.500 Sm
0.166 0.834 0.000 Ho
0.500 0.500 0.000 Ho
0.834 0.166 0.000 Ho
0.000 0.000 0.500 Er
```

Top 8 peaks for 2θ = 10–90°, by angle:
2θ 30.80, d = 2.903 Å, I = 100
2θ 35.71, d = 2.515 Å, I = 51
2θ 51.39, d = 1.778 Å, I = 36
2θ 61.08, d = 1.517 Å, I = 14
2θ 61.14, d = 1.516 Å, I = 29
2θ 64.15, d = 1.452 Å, I = 12
2θ 83.86, d = 1.154 Å, I = 18
2θ 86.54, d = 1.125 Å, I = 11